[1]
Nd2Zn17: simulated XRD peak list (CuKα), based on a crystal structure in OQMD, relaxed with GGA-PBE.
Peak positions follow from Bragg's law for the DFT cell and can differ from measured ones.

Cell lengths 9.0206, 9.0206, 8.7863 Å; angles 90.00, 90.00, 120.00 degrees
Space group P6_3/mmc (No. 194)
Asymmetric unit:
Nd1 0.0000 0.0000 0.2500 (multiplicity 2)
Nd2 0.3333 0.6667 0.2500 (multiplicity 2)
Zn1 0.0000 0.5000 0.0000 (multiplicity 6)
Zn2 0.0409 0.3704 0.7500 (multiplicity 12)
Zn3 0.1620 0.3240 0.0200 (multiplicity 12)
Zn4 0.3333 0.6667 0.6026 (multiplicity 4)

The 8 most intense peaks (2θ from 10° to 90°), in order of rising 2θ:
28.36°, intensity 26, (1 1 2)
34.44°, intensity 38, (3 0 0)
38.42°, intensity 38, (2 0 3)
39.98°, intensity 61, (2 2 0)
40.26°, intensity 100, (3 0 2)
41.09°, intensity 33, (0 0 4)
45.20°, intensity 33, (2 2 2)
74.31°, intensity 20, (3 0 6)

[2]
NdZr: simulated XRD peak list (CuKα), based on a crystal structure in OQMD, relaxed with GGA-PBE.
Peak positions follow from Bragg's law for the DFT cell and can differ from measured ones.

Cell lengths 5.4352, 18.4792, 5.7625 Å; angles 90.00, 90.00, 90.00 degrees
Space group Amm2 (No. 38)
Asymmetric unit:
Nd1 0.0000 0.0000 0.0000 (multiplicity 2)
Nd2 0.0000 0.1888 0.0534 (multiplicity 4)
Nd3 0.5000 0.1839 0.6402 (multiplicity 4)
Zr1 0.0000 0.0836 0.5088 (multiplicity 4)
Zr2 0.5000 0.0000 0.6601 (multiplicity 2)
Zr3 0.5000 0.0843 0.1829 (multiplicity 4)

The 8 most intense peaks (2θ from 10° to 90°), in order of rising 2θ:
26.79°, intensity 17, (1 3 1)
28.70°, intensity 14, (0 5 1)
31.04°, intensity 19, (0 0 2)
32.96°, intensity 37, (2 0 0)
33.18°, intensity 100, (1 5 1)
35.26°, intensity 30, (1 0 2)
59.00°, intensity 19, (3 5 1)
64.54°, intensity 13, (2 5 3)

[3]
Nd3Zr4: simulated XRD peak list (CuKα), based on a crystal structure in OQMD, relaxed with GGA-PBE.
Peak positions follow from Bragg's law for the DFT cell and can differ from measured ones.

Cell lengths 9.1065, 9.1065, 5.3881 Å; angles 90.00, 90.00, 120.00 degrees
Space group P6_3/m (No. 176)
Asymmetric unit:
Nd1 0.0639 0.8008 0.2500 (multiplicity 6)
Zr1 0.1105 0.6027 0.7500 (multiplicity 6)
Zr2 0.3333 0.6667 0.2500 (multiplicity 2)

The 8 most intense peaks (2θ from 10° to 90°), in order of rising 2θ:
29.98°, intensity 24, (1 2 0)
33.26°, intensity 27, (0 0 2)
34.38°, intensity 100, (1 2 1)
45.38°, intensity 15, (1 2 2)
53.23°, intensity 16, (4 1 0)
60.15°, intensity 19, (1 2 3)
64.22°, intensity 18, (4 1 2)
64.92°, intensity 11, (2 4 1)

[4]
NdZr: simulated XRD peak list (CuKα), based on a crystal structure in OQMD, relaxed with GGA-PBE.
Peak positions follow from Bragg's law for the DFT cell and can differ from measured ones.

Cell lengths 5.5018, 10.4783, 5.9114 Å; angles 90.00, 90.00, 90.00 degrees
Space group Pmc2_1 (No. 26)
Asymmetric unit:
Nd1 0.0000 0.0757 0.0000 (multiplicity 2)
Nd2 0.0000 0.2591 0.5389 (multiplicity 2)
Nd3 0.5000 0.2592 0.1671 (multiplicity 2)
Zr1 0.0000 0.4399 0.9922 (multiplicity 2)
Zr2 0.5000 0.0762 0.6783 (multiplicity 2)
Zr3 0.5000 0.4299 0.6984 (multiplicity 2)

The 8 most intense peaks (2θ from 10° to 90°), in order of rising 2θ:
29.71°, intensity 24, (0 3 1)
32.55°, intensity 40, (2 0 0)
33.97°, intensity 100, (1 3 1)
34.44°, intensity 49, (1 0 2)
44.64°, intensity 15, (2 3 1)
53.39°, intensity 16, (0 3 3)
58.99°, intensity 20, (3 3 1)
63.94°, intensity 19, (2 3 3)

[5]
NdZr: simulated XRD peak list (CuKα), based on a crystal structure in OQMD, relaxed with GGA-PBE.
Peak positions follow from Bragg's law for the DFT cell and can differ from measured ones.

Cell lengths 5.5042, 6.8316, 12.1048 Å; angles 90.00, 90.00, 90.00 degrees
Space group Pmmn (No. 59, origin choice 2)
Asymmetric unit:
Nd1 0.2500 0.0035 0.0882 (multiplicity 4)
Nd2 0.2500 0.2500 0.3427 (multiplicity 2)
Nd3 0.2500 0.2500 0.8078 (multiplicity 2)
Zr1 0.2500 0.0049 0.5775 (multiplicity 4)
Zr2 0.2500 0.7500 0.3625 (multiplicity 2)
Zr3 0.2500 0.7500 0.8148 (multiplicity 2)

The 8 most intense peaks (2θ from 10° to 90°), in order of rising 2θ:
30.04°, intensity 25, (0 2 2)
32.53°, intensity 41, (2 0 0)
33.80°, intensity 49, (1 0 4)
34.26°, intensity 100, (1 2 2)
44.87°, intensity 17, (2 2 2)
52.69°, intensity 14, (0 2 6)
59.16°, intensity 20, (3 2 2)
63.31°, intensity 16, (2 2 6)

[6]
NdZr: simulated XRD peak list (CuKα), based on a crystal structure in OQMD, relaxed with GGA-PBE.
Peak positions follow from Bragg's law for the DFT cell and can differ from measured ones.

Cell lengths 5.4453, 10.9629, 5.7817 Å; angles 90.00, 90.00, 90.00 degrees
Space group Pmc2_1 (No. 26)
Asymmetric unit:
Nd1 0.0000 0.0803 0.0000 (multiplicity 2)
Nd2 0.0000 0.3970 0.0424 (multiplicity 2)
Nd3 0.5000 0.3892 0.6329 (multiplicity 2)
Zr1 0.0000 0.2294 0.5030 (multiplicity 2)
Zr2 0.5000 0.0849 0.6522 (multiplicity 2)
Zr3 0.5000 0.2153 0.1794 (multiplicity 2)

The 8 most intense peaks (2θ from 10° to 90°), in order of rising 2θ:
28.90°, intensity 16, (0 3 1)
30.93°, intensity 18, (0 0 2)
32.90°, intensity 37, (2 0 0)
33.35°, intensity 100, (1 3 1)
35.15°, intensity 33, (1 0 2)
53.77°, intensity 12, (0 3 3)
59.02°, intensity 21, (3 3 1)
64.49°, intensity 14, (2 3 3)